Starting from a structure optimized by DFT (GGA-PBE), the X-ray diffraction stick pattern of Ac3La2Pt3 was simulated for Cu Kα, 1.54184 Å.
Intensities are scaled so that the largest is 100.

Crystal structure
```
data_Ac3La2Pt3
_chemical_formula_sum 'Ac6 La4 Pt6'
_cell_length_a 5.9648
_cell_length_b 7.3861
_cell_length_c 14.8644
_cell_angle_alpha 88.73
_cell_angle_beta 89.99
_cell_angle_gamma 66.19
_space_group_name_H-M_alt 'P 1'
_space_group_IT_number 1
_space_group_name_Hall 'P 1'
loop_
_atom_site_label
_atom_site_fract_x
_atom_site_fract_y
_atom_site_fract_z
_atom_site_occupancy
Ac1 0.0000 0.0000 0.0000 1
Ac2 0.0067 0.9872 0.2617 1
Ac3 0.2036 0.5928 0.6336 1
Ac4 0.5984 0.8026 0.8077 1
Ac5 0.7020 0.5974 0.1322 1
Ac6 0.9055 0.1896 0.5058 1
La1 0.2794 0.4433 0.9463 1
La2 0.2908 0.4196 0.3161 1
La3 0.6216 0.7566 0.4451 1
La4 0.8843 0.2328 0.7669 1
Pt1 0.0948 0.8098 0.8209 1
Pt2 0.1140 0.7718 0.4375 1
Pt3 0.1781 0.6453 0.1313 1
Pt4 0.7272 0.5455 0.6292 1
Pt5 0.7879 0.4264 0.9367 1
Pt6 0.7988 0.4038 0.3274 1
```

Main lines, by angle (15 to 90 degrees two-theta):
2theta	I/Imax	hkl
16.2	76.2	1 0 0
27.1	31.5	0 1 4
27.7	26.6	0 1 -4
28.8	27.0	0 2 2
29.3	32.1	0 2 -2
30.0	100.0	2 1 0
31.7	30.8	0 2 3
32.4	26.6	0 2 -3
40.9	28.6	2 0 -4
47.7	25.6	2 1 6

***

Starting from a structure optimized by DFT (GGA-PBE), the X-ray diffraction stick pattern of AcLaPt was simulated for Cu Kα, 1.54184 Å.
Intensities are scaled so that the largest is 100.

Crystal structure
```
data_AcLaPt
_chemical_formula_sum 'Ac2 La2 Pt2'
_cell_length_a 4.0997
_cell_length_b 6.9763
_cell_length_c 7.5456
_cell_angle_alpha 74.84
_cell_angle_beta 74.31
_cell_angle_gamma 72.96
_space_group_name_H-M_alt 'P -1'
_space_group_IT_number 2
_space_group_name_Hall '-P 1'
loop_
_atom_site_label
_atom_site_fract_x
_atom_site_fract_y
_atom_site_fract_z
_atom_site_occupancy
Ac1 0.0849 0.2159 0.1146 1
La1 0.3292 0.2649 0.5764 1
Pt1 0.3635 0.5690 0.2030 1
```

Main lines, by angle (15 to 90 degrees two-theta):
2theta	I/Imax	hkl
28.7	100.0	1 0 -1
29.7	96.6	1 2 1
30.9	72.4	0 1 -2
31.4	80.8	1 2 0
33.2	56.6	-1 1 1
33.3	42.3	0 2 2
37.7	33.7	1 -1 2
37.9	87.6	1 1 3
44.2	74.7	2 1 1
53.1	35.3	1 -3 0

***

Starting from a structure optimized by DFT (GGA-PBE), the X-ray diffraction stick pattern of Ac2La5Rh5 was simulated for Cu Kα, 1.54184 Å.
Intensities are scaled so that the largest is 100.

Crystal structure
```
data_Ac2La5Rh5
_chemical_formula_sum 'Ac4 La10 Rh10'
_cell_length_a 13.7248
_cell_length_b 4.0989
_cell_length_c 12.7099
_cell_angle_alpha 90.00
_cell_angle_beta 105.04
_cell_angle_gamma 90.00
_space_group_name_H-M_alt 'C 1 2/m 1'
_space_group_IT_number 12
_space_group_name_Hall '-C 2y'
loop_
_atom_site_label
_atom_site_fract_x
_atom_site_fract_y
_atom_site_fract_z
_atom_site_occupancy
Ac1 0.0405 0.0000 0.2840 1
La1 0.0000 0.5000 0.0000 1
La2 0.1559 0.5000 0.5533 1
La3 0.2374 0.5000 0.8602 1
Rh1 0.0000 0.0000 0.5000 1
Rh2 0.1158 0.0000 0.9303 1
Rh3 0.2056 0.5000 0.3150 1
```

Main lines, by angle (15 to 90 degrees two-theta):
2theta	I/Imax	hkl
28.0	35.8	1 1 2
28.5	70.2	2 0 3
28.7	71.5	2 0 -4
29.7	52.2	3 1 0
30.7	100.0	3 1 -2
31.9	72.4	3 1 1
33.7	38.4	3 1 -3
38.6	35.9	1 1 4
42.8	36.6	5 1 1
44.2	54.4	0 2 0